# 1
The following is a computed X-ray diffraction stick pattern of Sr2Cd4Ag3Au. It was derived from DFT lattice parameters and positions (GGA-PBE), using Cu Kα (λ = 1.5418 Å).

Atomic structure:
a = 4.7745 Å, b = 4.7745 Å, c = 11.4080 Å
α = 90.00°, β = 90.00°, γ = 90.00°
Space group P-4m2 (No. 115)
Symmetry-distinct sites (fractional):
Sr: 0.0000 0.5000 0.2386 x2
Cd: 0.0000 0.0000 0.5000 x1
Cd: 0.0000 0.5000 0.8726 x2
Cd: 0.5000 0.5000 0.5000 x1
Ag: 0.0000 0.0000 0.0000 x1
Ag: 0.0000 0.5000 0.6351 x2
Au: 0.5000 0.5000 0.0000 x1

Most intense lines, 5 to 70 degrees two-theta, in order of falling intensity:
- d 2.905, rel. 100, (1 1 2)
- d 2.387, rel. 70, (2 0 0)
- d 2.179, rel. 52, (1 1 4)
- d 2.975, rel. 40, (1 0 3)
- d 5.704, rel. 24, (0 0 2)
- d 1.460, rel. 24, (3 1 2)

# 2
The following is a computed X-ray diffraction stick pattern of Ag2HgBr2O. It was derived from DFT lattice parameters and positions (GGA-PBE), using Cu Kα (λ = 1.5418 Å).

Atomic structure:
a = 12.8247 Å, b = 7.3084 Å, c = 6.7974 Å
α = 90.00°, β = 90.00°, γ = 90.00°
Space group Cmc2_1 (No. 36)
Symmetry-distinct sites (fractional):
Ag: 0.1552 0.1533 0.0000 x8
Hg: 0.0000 0.4893 0.3142 x4
Br: 0.1550 0.2034 0.5901 x8
O: 0.0000 0.3356 0.0574 x4

Most intense lines, 5 to 70 degrees two-theta, in order of falling intensity:
- d 3.690, rel. 100, (3 1 0)
- d 2.999, rel. 96, (2 0 2)
- d 1.797, rel. 43, (3 3 2)
- d 2.489, rel. 37, (0 2 2)
- d 2.332, rel. 35, (4 0 2)
- d 3.175, rel. 34, (2 2 0)